Theoretical powder X-ray diffraction pattern of ZnSiMo2 for CuKα, from a crystal structure in Alexandria, relaxed with PBE.

Structure:
```
4
Lattice="3.2605 0.0000 0.0000 0.0000 3.2605 0.0000 0.0000 0.0000 5.5624" Properties=species:S:1:pos:R:3 pbc="T T T"
Zn 0.0000 0.0000 0.0000
Si 1.6302 1.6302 4.2584
Mo 0.0000 0.0000 2.8170
Mo 1.6302 1.6302 1.4438
```

The 12 most intense peaks (2θ from 10° to 80°), most intense first:
hkl 1 0 2, 42.73 deg, I = 100.0; hkl 1 1 0, 39.07 deg, I = 65.3; hkl 2 1 2, 73.30 deg, I = 38.6; hkl 2 0 0, 56.44 deg, I = 21.4; hkl 0 0 1, 15.93 deg, I = 17.7; hkl 1 0 1, 31.81 deg, I = 15.6; hkl 0 0 4, 67.34 deg, I = 6.1; hkl 1 1 1, 42.44 deg, I = 6.0; hkl 2 1 1, 66.26 deg, I = 3.6; hkl 1 0 0, 27.35 deg, I = 3.5; hkl 1 1 3, 64.49 deg, I = 2.2; hkl 2 0 1, 59.05 deg, I = 2.2